For Sr2ScCoAsO3, a structure optimized by DFT (GGA+U) gives the calculated X-ray diffraction stick pattern in this record (Cu Ka).
No peak broadening, texture or thermal motion is included.

Atomic structure:
```
16
Lattice="4.0726 0.0000 0.0000 0.0000 4.0726 0.0000 0.0000 0.0000 15.3087" Properties=species:S:1:pos:R:3 pbc="T T T"
Sr 1.0181 1.0181 1.3485
Sr 1.0181 1.0181 4.9081
Sr 3.0544 3.0544 10.4006
Sr 3.0544 3.0544 13.9602
Sc 1.0181 1.0181 12.2870
Sc 3.0544 3.0544 3.0217
Co 1.0181 3.0544 7.6543
Co 3.0544 1.0181 7.6543
As 1.0181 1.0181 8.7672
As 3.0544 3.0544 6.5414
O 1.0181 1.0181 14.2729
O 1.0181 3.0544 3.3542
O 1.0181 3.0544 11.9544
O 3.0544 1.0181 3.3542
O 3.0544 1.0181 11.9544
O 3.0544 3.0544 1.0358
```

Largest 10 diffraction maxima, most intense first, 5° ≤ 2θ ≤ 70°:
d 2.789, I = 100, hkl 1 0 4; d 15.309, I = 56, hkl 0 0 1; d 2.036, I = 49, hkl 2 0 0; d 1.645, I = 40, hkl 2 1 4; d 2.880, I = 39, hkl 1 1 0; d 2.301, I = 24, hkl 1 1 4; d 1.594, I = 22, hkl 1 1 8; d 1.440, I = 15, hkl 2 2 0; d 2.508, I = 14, hkl 1 1 3; d 2.447, I = 8, hkl 1 0 5